Calculated powder XRD pattern
Compound: Zn4Cu9Au2
Radiation: Cu Ka
Structure: a cell relaxed with PBE
Lines closer than 0.1° are merged.

Cell and atoms:
Cell lengths 4.2124, 4.2124, 13.1280 Å; angles 90.00, 90.00, 120.00 degrees
Space group P-3m1 (No. 164)
One atom of each set of equivalent atoms:
Zn  0.3333  0.6667  0.1555 (multiplicity 2)
Zn  0.3333  0.6667  0.3716 (multiplicity 2)
Cu  0.0000  0.0000  0.0958 (multiplicity 2)
Cu  0.0000  0.0000  0.3106 (multiplicity 2)
Cu  0.0000  0.0000  0.5000 (multiplicity 1)
Cu  0.3333  0.6667  0.5615 (multiplicity 2)
Cu  0.3333  0.6667  0.9682 (multiplicity 2)
Au  0.3333  0.6667  0.7658 (multiplicity 2)

Main lines, by angle (2θ from 5° to 70°):
13.5 deg, intensity 122, hkl 0 0 2; 24.4 deg, intensity 44, hkl 1 0 0; 25.3 deg, intensity 218, hkl 0 1 1; 28.0 deg, intensity 65, hkl 1 0 2; 31.9 deg, intensity 184, hkl 0 1 3; 36.8 deg, intensity 48, hkl 1 0 4; 42.4 deg, intensity 1000, hkl 0 1 5; 42.9 deg, intensity 977, hkl 1 1 0; 45.2 deg, intensity 43, hkl 1 1 2; 62.0 deg, intensity 347, hkl 2 0 5